[1]
The following is a computed X-ray diffraction stick pattern of Ta2FeO6. It was derived from a crystal structure in the Materials Project, relaxed with PBE+U, using Cu Kα (weighted mean of Kα1 and Kα2).

Atomic structure:
abc: 4.825 4.825 9.278
angles: 90.00 90.00 90.00
Positions (direct):
Ta1 0.000 0.000 0.169
Ta2 0.000 0.000 0.831
Ta3 0.500 0.500 0.331
Ta4 0.500 0.500 0.669
Fe1 0.000 0.000 0.500
Fe2 0.500 0.500 0.000
O1 0.187 0.187 0.000
O2 0.207 0.207 0.319
O3 0.207 0.207 0.681
O4 0.293 0.707 0.181
O5 0.293 0.707 0.819
O6 0.313 0.687 0.500
O7 0.687 0.313 0.500
O8 0.707 0.293 0.181
O9 0.707 0.293 0.819
O10 0.793 0.793 0.319
O11 0.793 0.793 0.681
O12 0.813 0.813 0.000

Principal peaks in the range 2θ = 5–70°, in order of rising 2θ:
| 2theta | I/Imax |
| --- | --- |
| 20.75 | 26 |
| 26.12 | 100 |
| 34.45 | 80 |
| 37.27 | 25 |
| 51.65 | 65 |
| 65.41 | 19 |

---

[2]
The following is a computed X-ray diffraction stick pattern of TaFeO4. It was derived from a crystal structure in the Materials Project, relaxed with PBE+U, using Cu Kα (weighted mean of Kα1 and Kα2).

Atomic structure:
abc: 6.641 6.641 6.734
angles: 106.77 106.77 34.04
Positions (direct):
Ta1 0.104 0.104 0.223
Ta2 0.896 0.896 0.777
Fe1 0.197 0.197 0.807
Fe2 0.803 0.803 0.193
O1 0.054 0.054 0.869
O2 0.136 0.136 0.508
O3 0.256 0.256 0.148
O4 0.366 0.366 0.797
O5 0.634 0.634 0.203
O6 0.744 0.744 0.852
O7 0.864 0.864 0.492
O8 0.946 0.946 0.131

Principal peaks in the range 2θ = 5–70°, in order of rising 2θ:
| 2theta | I/Imax |
| --- | --- |
| 16.83 | 64 |
| 23.03 | 39 |
| 24.04 | 100 |
| 27.79 | 52 |
| 32.09 | 37 |
| 37.64 | 27 |

---

[3]
The following is a computed X-ray diffraction stick pattern of TaFeO4. It was derived from a crystal structure in the Materials Project, relaxed with PBE+U, using Cu Kα (weighted mean of Kα1 and Kα2).

Atomic structure:
abc: 5.679 9.384 5.106
angles: 90.00 90.00 90.00
Positions (direct):
Ta1 0.091 0.127 0.000
Ta2 0.409 0.627 0.500
Ta3 0.591 0.373 0.000
Ta4 0.909 0.873 0.500
Fe1 0.080 0.623 0.012
Fe2 0.420 0.123 0.512
Fe3 0.580 0.877 0.012
Fe4 0.920 0.377 0.512
O1 0.125 0.740 0.678
O2 0.130 0.010 0.341
O3 0.136 0.239 0.689
O4 0.138 0.513 0.350
O5 0.362 0.013 0.850
O6 0.364 0.739 0.189
O7 0.370 0.510 0.841
O8 0.375 0.240 0.178
O9 0.625 0.760 0.678
O10 0.630 0.490 0.341
O11 0.636 0.261 0.689
O12 0.638 0.987 0.350
O13 0.862 0.487 0.850
O14 0.864 0.761 0.189
O15 0.870 0.990 0.841
O16 0.875 0.260 0.178

Principal peaks in the range 2θ = 5–70°, in order of rising 2θ:
| 2theta | I/Imax |
| --- | --- |
| 19.79 | 27 |
| 24.61 | 38 |
| 30.28 | 100 |
| 36.20 | 26 |
| 53.77 | 28 |
| 64.42 | 29 |